Entry 1:
# TbCeSiGe
Calculated X-ray diffraction stick pattern, a wavelength of 1.5418 Å. Input: a PBE-relaxed structure.

Atomic structure:
```
TbCeSiGe
1.0
3.9450 0.0000 0.0000
0.0000 2.1924 5.3897
0.0000 -2.1924 5.3897
Tb Ce Si Ge
1 1 1 1
direct
0.0000 0.0000 0.0000 Tb
0.5000 0.7224 0.7224 Ce
0.0000 0.2815 0.2815 Si
0.5000 0.4394 0.4394 Ge
```

Top 10 peaks for 2θ = 10–90°, low angle first:
2θ = 21.88°, I 15
2θ = 28.03°, I 37
2θ = 31.62°, I 100
2θ = 32.21°, I 43
2θ = 33.25°, I 29
2θ = 39.67°, I 43
2θ = 41.17°, I 25
2θ = 46.01°, I 18
2θ = 50.55°, I 15
2θ = 57.27°, I 17

---

Entry 2:
# Hf4Hg2N
Calculated X-ray diffraction stick pattern, a wavelength of 1.5418 Å. Input: a PBE-relaxed structure.

Atomic structure:
```
Hf4Hg2N
1.0
7.6681 0.0000 0.0000
0.0000 10.9192 0.0000
0.0000 0.0000 3.2900
Hf Hg N
8 4 2
direct
0.1294 0.1829 0.0000 Hf
0.1738 0.9352 0.5000 Hf
0.3262 0.4352 0.5000 Hf
0.3706 0.6829 0.0000 Hf
0.6294 0.3171 0.0000 Hf
0.6738 0.5648 0.5000 Hf
0.8262 0.0648 0.5000 Hf
0.8706 0.8171 0.0000 Hf
0.0550 0.6351 0.5000 Hg
0.4450 0.1351 0.5000 Hg
0.5550 0.8649 0.5000 Hg
0.9450 0.3649 0.5000 Hg
0.0000 0.0000 0.0000 N
0.5000 0.5000 0.0000 N
```

Top 10 peaks for 2θ = 10–90°, low angle first:
2θ = 27.11°, I 28
2θ = 31.75°, I 32
2θ = 33.94°, I 69
2θ = 34.89°, I 53
2θ = 36.09°, I 41
2θ = 36.93°, I 100
2θ = 38.72°, I 77
2θ = 38.91°, I 33
2θ = 55.90°, I 29
2θ = 67.59°, I 26

---

Entry 3:
# Np3ScSe6
Calculated X-ray diffraction stick pattern, a wavelength of 1.5418 Å. Input: a PBE-relaxed structure.

Atomic structure:
```
Np3ScSe6
1.0
6.8111 0.0000 0.0000
0.0000 7.5902 0.0000
-6.2710 0.0000 10.1470
Np Sc Se
6 2 12
direct
0.0000 0.0000 0.0000 Np
0.0000 0.5000 0.5000 Np
0.3079 0.1141 0.7621 Np
0.3079 0.3859 0.2621 Np
0.6921 0.6141 0.7379 Np
0.6921 0.8859 0.2379 Np
0.5000 0.0000 0.5000 Sc
0.5000 0.5000 0.0000 Sc
0.1036 0.0500 0.2620 Se
0.1036 0.4500 0.7620 Se
0.2511 0.6746 0.0787 Se
0.2511 0.8254 0.5787 Se
0.4105 0.1856 0.0695 Se
0.4105 0.3144 0.5695 Se
0.5895 0.6856 0.4305 Se
0.5895 0.8144 0.9305 Se
0.7489 0.1746 0.4213 Se
0.7489 0.3254 0.9213 Se
0.8964 0.5500 0.2380 Se
0.8964 0.9500 0.7380 Se
```

Top 10 peaks for 2θ = 10–90°, low angle first:
2θ = 14.57°, I 50
2θ = 19.27°, I 46
2θ = 24.33°, I 93
2θ = 25.33°, I 100
2θ = 29.69°, I 98
2θ = 32.41°, I 52
2θ = 35.40°, I 75
2θ = 35.55°, I 59
2θ = 37.94°, I 73
2θ = 46.31°, I 68

---

Entry 4:
# SmZn2SiN4
Calculated X-ray diffraction stick pattern, a wavelength of 1.5418 Å. Input: a PBE-relaxed structure.

Atomic structure:
```
SmZn2SiN4
1.0
-2.6251 2.6251 3.4914
2.6251 -2.6251 3.4914
2.6251 2.6251 -3.4914
Sm Zn Si N
1 2 1 4
direct
0.0000 0.0000 0.0000 Sm
0.2500 0.7500 0.5000 Zn
0.7500 0.2500 0.5000 Zn
0.5000 0.5000 0.0000 Si
0.1652 0.1652 0.6055 N
0.4404 0.8348 0.0000 N
0.5596 0.5596 0.3945 N
0.8348 0.4404 0.0000 N
```

Top 10 peaks for 2θ = 10–90°, low angle first:
2θ = 21.17°, I 39
2θ = 34.16°, I 40
2θ = 35.29°, I 100
2θ = 40.53°, I 23
2θ = 42.48°, I 10
2θ = 49.08°, I 23
2θ = 61.88°, I 38
2θ = 64.06°, I 20
2θ = 74.63°, I 9
2θ = 82.75°, I 8

---

Entry 5:
# TaMnNiPS
Calculated X-ray diffraction stick pattern, a wavelength of 1.5418 Å. Input: a PBE-relaxed structure.

Atomic structure:
```
TaMnNiPS
1.0
4.1806 -1.6978 0.0000
4.1806 1.6978 0.0000
-3.8873 0.0000 5.0631
Ta Mn Ni P S
1 1 1 1 1
direct
0.0000 0.0000 0.0000 Ta
0.4461 0.4461 0.3392 Mn
0.2513 0.2513 0.5608 Ni
0.7541 0.7541 0.3481 P
0.2365 0.2365 0.8848 S
```

Top 10 peaks for 2θ = 10–90°, low angle first:
2θ = 17.52°, I 45
2θ = 21.29°, I 95
2θ = 29.55°, I 66
2θ = 29.93°, I 63
2θ = 38.70°, I 100
2θ = 39.59°, I 64
2θ = 40.60°, I 39
2θ = 42.55°, I 90
2θ = 43.37°, I 62
2θ = 51.36°, I 44

---

Entry 6:
# LaNdH4
Calculated X-ray diffraction stick pattern, a wavelength of 1.5418 Å. Input: a PBE-relaxed structure.

Atomic structure:
```
LaNdH4
1.0
3.9226 0.0000 0.0000
0.0000 3.9226 0.0000
0.0000 0.0000 5.5624
La Nd H
1 1 4
direct
0.0000 0.0000 0.0000 La
0.5000 0.5000 0.5000 Nd
0.0000 0.5000 0.2585 H
0.0000 0.5000 0.7415 H
0.5000 0.0000 0.2585 H
0.5000 0.0000 0.7415 H
```

Top 10 peaks for 2θ = 10–90°, low angle first:
2θ = 27.83°, I 100
2θ = 32.24°, I 49
2θ = 46.25°, I 39
2θ = 54.76°, I 15
2θ = 54.88°, I 30
2θ = 57.50°, I 13
2θ = 74.49°, I 18
2θ = 76.66°, I 5
2θ = 76.83°, I 11
2θ = 85.77°, I 9